# 1
The following is a theoretical powder diffractogram of Cs2ZrI6O18. It was derived from a crystal structure in the Materials Project, relaxed with PBE, using Cu Kα.
Intensities are scaled so that the largest is 100.

Peak list (10 most intense, 5 to 70 degrees two-theta, low angle first)
2theta	I (rel.)	index
22.51	22.6	2 0 2
23.67	49.8	2 1 1
25.53	66.8	3 0 0
26.66	100.0	2 -1 3
31.70	32.3	4 -3 1
37.24	21.4	2 2 3
45.70	22.2	5 -4 3
45.91	18.9	5 0 2
46.52	13.8	2 4 1
47.74	21.4	1 1 6

Atomic structure:
Lattice parameters (Å, degrees): 12.0870 12.0870 12.0434 90.00 90.00 120.00
Space group R-3 (No. 148, hexagonal axes)
Inequivalent atoms, fractional coordinates:
Cs 0.0000 0.0000 0.1638
Zr 0.0000 0.0000 0.5000
I 0.0193 0.4015 0.2790
O 0.0354 0.1521 0.6074
O 0.0352 0.5793 0.8572
O 0.0578 0.5364 0.6312

# 2
The following is a theoretical powder diffractogram of Cs2Pr10Os2I17. It was derived from a crystal structure in the Materials Project, relaxed with PBE, using Cu Kα.
Intensities are scaled so that the largest is 100.

Peak list (10 most intense, 5 to 70 degrees two-theta, low angle first)
2theta	I (rel.)	index
7.87	43.0	1 1 0
8.77	52.7	0 0 1
9.21	37.8	0 2 0
23.86	36.1	1 3 2
27.88	100.0	0 6 0
28.09	95.1	4 0 1
28.28	92.0	2 0 -3
39.28	35.7	2 0 4
39.99	67.9	4 6 1
40.13	66.6	2 6 -3

Atomic structure:
Lattice parameters (Å, degrees): 13.9303 19.2035 10.1386 90.00 95.96 90.00
Space group C2/m (No. 12)
Inequivalent atoms, fractional coordinates:
Cs 0.0000 0.1743 0.0000
Pr 0.0636 0.5000 0.6817
Pr 0.1430 0.3506 0.4272
Pr 0.1712 0.0000 0.4445
Pr 0.2072 0.5000 0.1826
Os 0.1406 0.5000 0.4302
I 0.0000 0.5000 0.0000
I 0.0639 0.0000 0.7173
I 0.0732 0.3266 0.7236
I 0.1420 0.1685 0.4213
I 0.2108 0.0000 0.1326
I 0.2169 0.3333 0.1403

# 3
The following is a theoretical powder diffractogram of CsPbI3. It was derived from a crystal structure in the Materials Project, relaxed with PBE, using Cu Kα.
Intensities are scaled so that the largest is 100.

Peak list (10 most intense, 5 to 70 degrees two-theta, low angle first)
2theta	I (rel.)	index
20.56	21.0	1 1 1
24.82	31.0	1 1 3
25.07	59.8	2 1 1
25.58	26.0	2 0 4
25.81	39.8	1 0 5
26.48	100.0	2 1 2
30.62	51.9	0 1 5
36.80	68.7	0 2 0
40.15	30.4	1 1 7
51.78	25.6	3 0 9

Atomic structure:
Lattice parameters (Å, degrees): 10.8119 4.8787 18.2132 90.00 90.00 90.00
Space group Pnma (No. 62)
Inequivalent atoms, fractional coordinates:
Cs 0.0816 0.2500 0.1722
Pb 0.1612 0.7500 0.4392
I 0.0287 0.7500 0.6116
I 0.1638 0.7500 0.0006
I 0.2028 0.2500 0.7885

# 4
The following is a theoretical powder diffractogram of CsPbI3. It was derived from a crystal structure in the Materials Project, relaxed with PBE, using Cu Kα.
Intensities are scaled so that the largest is 100.

Peak list (10 most intense, 5 to 70 degrees two-theta, low angle first)
2theta	I (rel.)	index
13.88	25.2	0 2 0
14.09	43.1	1 0 1
19.84	66.5	2 0 0
24.33	24.2	2 2 0
24.48	21.1	0 2 2
27.97	63.5	0 4 0
28.39	100.0	2 0 2
31.72	25.8	3 0 1
34.97	31.6	1 2 3
40.28	69.0	2 4 2

Atomic structure:
Lattice parameters (Å, degrees): 8.9305 12.7578 8.8534 90.00 90.00 90.00
Space group Pnma (No. 62)
Inequivalent atoms, fractional coordinates:
Cs 0.0346 0.2500 0.0076
Pb 0.0000 0.0000 0.5000
I 0.0071 0.7500 0.4485
I 0.2039 0.5259 0.7966

# 5
The following is a theoretical powder diffractogram of CsPbI3. It was derived from a crystal structure in the Materials Project, relaxed with PBE, using Cu Kα.
Intensities are scaled so that the largest is 100.

Peak list (10 most intense, 5 to 70 degrees two-theta, low angle first)
2theta	I (rel.)	index
13.81	39.3	1 0 0
19.57	39.1	1 1 0
24.03	35.8	1 1 1
27.82	100.0	2 0 0
31.18	23.5	2 1 0
34.24	20.1	2 1 1
39.75	76.7	2 2 0
46.98	16.3	3 1 1
49.21	27.6	2 2 2
65.03	36.0	4 2 0

Atomic structure:
Lattice parameters (Å, degrees): 6.4141 6.4141 6.4141 90.00 90.00 90.00
Space group Pm-3m (No. 221)
Inequivalent atoms, fractional coordinates:
Cs 0.0000 0.0000 0.0000
Pb 0.5000 0.5000 0.5000
I 0.0000 0.5000 0.5000

# 6
The following is a theoretical powder diffractogram of Cs2RbYI6. It was derived from a crystal structure in the Materials Project, relaxed with PBE, using Cu Kα.
Intensities are scaled so that the largest is 100.

Peak list (10 most intense, 5 to 70 degrees two-theta, low angle first)
2theta	I (rel.)	index
13.57	12.2	2 0 0
19.24	13.9	2 2 0
23.62	94.2	2 2 2
27.34	100.0	4 0 0
39.05	72.8	4 4 0
46.14	40.7	6 2 2
48.32	24.9	4 4 4
56.41	11.3	8 0 0
62.00	14.7	6 6 2
63.80	29.7	8 4 0

Atomic structure:
Lattice parameters (Å, degrees): 13.0492 13.0492 13.0492 90.00 90.00 90.00
Space group Fm-3m (No. 225)
Inequivalent atoms, fractional coordinates:
Cs 0.2500 0.2500 0.2500
Rb 0.0000 0.0000 0.0000
Y 0.0000 0.0000 0.5000
I 0.0000 0.0000 0.2680

# 7
The following is a theoretical powder diffractogram of Cs3Re3S4I4. It was derived from a crystal structure in the Materials Project, relaxed with PBE, using Cu Kα.
Intensities are scaled so that the largest is 100.

Peak list (10 most intense, 5 to 70 degrees two-theta, low angle first)
2theta	I (rel.)	index
9.46	100.0	1 1 1
10.93	34.4	2 0 0
21.96	62.3	4 0 0
31.25	32.1	4 4 0
33.20	31.9	4 4 2
39.76	18.7	7 1 1
42.90	29.4	5 5 3
44.78	20.1	8 0 0
46.24	16.8	6 4 4
50.41	19.0	8 4 0

Atomic structure:
Lattice parameters (Å, degrees): 16.1911 16.1911 16.1911 90.00 90.00 90.00
Space group Fm-3m (No. 225)
Inequivalent atoms, fractional coordinates:
Cs 0.0000 0.2500 0.2500
Re 0.0000 0.0000 0.1149
S 0.1057 0.1057 0.1057
I 0.0000 0.0000 0.2895
I 0.2500 0.2500 0.2500